Diffraction record for OsC3IO3. The powder diffraction line list is theoretical, not measured: it uses a structure optimized by DFT (GGA-PBE) and a wavelength of 1.5418 Å.

a b c (Å): 6.519 14.185 7.430
angles (deg): 90.00 91.11 90.00
Space group P2_1/m (No. 11)
One atom of each set of equivalent atoms:
Os  0.249  0.151  0.282 (multiplicity 4)
C  0.008  0.119  0.151 (multiplicity 4)
C  0.122  0.127  0.504 (multiplicity 4)
C  0.385  0.032  0.255 (multiplicity 4)
I  0.390  0.250  0.987 (multiplicity 2)
I  0.437  0.750  0.539 (multiplicity 2)
O  0.040  0.110  0.638 (multiplicity 4)
O  0.141  0.598  0.927 (multiplicity 4)
O  0.467  0.541  0.246 (multiplicity 4)

Most intense lines, 2θ = 10–90°, by angle:
| two_theta | d/Å | I/Imax | index |
| --- | --- | --- | --- |
| 12.48 | 7.092 | 51 | 0 2 0 |
| 13.46 | 6.581 | 100 | 0 1 1 |
| 14.96 | 5.922 | 90 | 1 1 0 |
| 17.93 | 4.947 | 34 | 1 0 -1 |
| 18.28 | 4.853 | 29 | 1 0 1 |
| 28.13 | 3.172 | 23 | 1 1 -2 |
| 28.65 | 3.116 | 21 | 1 4 0 |
| 30.83 | 2.900 | 41 | 2 1 1 |
| 34.98 | 2.565 | 20 | 0 4 2 |
| 39.20 | 2.298 | 19 | 1 0 3 |



Diffraction record for ReC2I2O2. The powder diffraction line list is theoretical, not measured: it uses a structure optimized by DFT (GGA-PBE) and a wavelength of 1.5418 Å.

a b c (Å): 7.3055 7.3055 37.8711
angles (deg): 90.00 90.00 120.00
Space group R-3 (No. 148, hexagonal axes)
One atom of each set of equivalent atoms:
Re  0.0000  0.0000  0.0000 (multiplicity 3)
Re  0.0000  0.0000  0.0919 (multiplicity 6)
C  0.0073  0.7862  0.8799 (multiplicity 18)
I  0.0039  0.7020  0.0436 (multiplicity 18)
O  0.0124  0.6923  0.1968 (multiplicity 18)

Most intense lines, 2θ = 10–90°, by angle:
| two_theta | d/Å | I/Imax | index |
| --- | --- | --- | --- |
| 14.19 | 6.240 | 100 | 1 0 1 |
| 14.76 | 6.001 | 43 | 0 1 2 |
| 25.38 | 3.509 | 21 | 2 -1 3 |
| 28.24 | 3.161 | 71 | 2 -1 6 |
| 32.46 | 2.758 | 35 | 1 1 9 |
| 37.67 | 2.388 | 46 | 2 -1 12 |
| 42.88 | 2.109 | 29 | 3 0 0 |
| 43.54 | 2.078 | 17 | 2 -1 15 |
| 52.16 | 1.753 | 17 | 4 -3 1 |
| 58.38 | 1.581 | 16 | 4 0 1 |



Diffraction record for Re2C3I4O3. The powder diffraction line list is theoretical, not measured: it uses a structure optimized by DFT (GGA-PBE) and a wavelength of 1.5418 Å.

a b c (Å): 22.662 8.811 12.876
angles (deg): 90.00 96.07 90.00
Space group C2/c (No. 15)
One atom of each set of equivalent atoms:
Re  0.008  0.137  0.164 (multiplicity 8)
Re  0.162  0.343  0.255 (multiplicity 8)
C  0.171  0.455  0.807 (multiplicity 8)
C  0.205  0.387  0.138 (multiplicity 8)
C  0.233  0.281  0.336 (multiplicity 8)
I  0.025  0.145  0.896 (multiplicity 8)
I  0.053  0.423  0.138 (multiplicity 8)
I  0.098  0.256  0.425 (multiplicity 8)
I  0.125  0.050  0.173 (multiplicity 8)
O  0.177  0.330  0.838 (multiplicity 8)
O  0.223  0.253  0.614 (multiplicity 8)
O  0.232  0.414  0.068 (multiplicity 8)

Most intense lines, 2θ = 10–90°, by angle:
| two_theta | d/Å | I/Imax | index |
| --- | --- | --- | --- |
| 12.59 | 7.033 | 100 | 1 1 -1 |
| 13.04 | 6.791 | 61 | 1 1 1 |
| 13.83 | 6.402 | 39 | 0 0 2 |
| 15.50 | 5.716 | 27 | 3 1 0 |
| 26.23 | 3.397 | 34 | 2 2 2 |
| 28.16 | 3.168 | 37 | 2 0 -4 |
| 29.56 | 3.022 | 26 | 7 1 0 |
| 30.64 | 2.918 | 24 | 4 0 -4 |
| 32.74 | 2.735 | 38 | 3 3 0 |
| 37.32 | 2.410 | 33 | 9 1 0 |



Diffraction record for RhC2IO2. The powder diffraction line list is theoretical, not measured: it uses a structure optimized by DFT (GGA-PBE) and a wavelength of 1.5418 Å.

a b c (Å): 9.539 9.720 14.113
angles (deg): 90.00 126.05 90.00
Space group P2_1/c (No. 14)
One atom of each set of equivalent atoms:
Rh  0.211  0.210  0.313 (multiplicity 4)
Rh  0.228  0.559  0.369 (multiplicity 4)
C  0.272  0.069  0.419 (multiplicity 4)
C  0.275  0.644  0.503 (multiplicity 4)
C  0.325  0.124  0.259 (multiplicity 4)
C  0.355  0.690  0.355 (multiplicity 4)
I  0.059  0.146  0.895 (multiplicity 4)
I  0.155  0.073  0.674 (multiplicity 4)
O  0.304  0.701  0.585 (multiplicity 4)
O  0.319  0.520  0.986 (multiplicity 4)
O  0.398  0.069  0.227 (multiplicity 4)
O  0.436  0.726  0.848 (multiplicity 4)

Most intense lines, 2θ = 10–90°, by angle:
| two_theta | d/Å | I/Imax | index |
| --- | --- | --- | --- |
| 11.47 | 7.712 | 100 | 1 0 0 |
| 12.76 | 6.936 | 85 | 1 0 -2 |
| 14.66 | 6.042 | 59 | 1 1 0 |
| 19.54 | 4.543 | 58 | 1 1 1 |
| 24.84 | 3.584 | 41 | 2 1 0 |
| 25.22 | 3.531 | 54 | 1 2 1 |
| 25.96 | 3.433 | 47 | 1 1 2 |
| 26.46 | 3.368 | 60 | 1 2 -3 |
| 28.00 | 3.187 | 40 | 2 2 -3 |
| 29.95 | 2.984 | 39 | 2 1 1 |